Record 1
Diffraction record for Na3GaN2. The powder diffraction line list is calculated, not measured: it uses a GGA-PBE-relaxed structure and Cu Kα (λ = 1.5418 Å).
Neutral-atom scattering factors, no anomalous dispersion.

Cell and atoms:
```
Na3GaN2
1.0
-4.050 4.050 6.339
4.050 -4.050 6.339
4.050 4.050 -6.339
Na Ga N
12 4 8
Direct
0.000 0.250 0.750 Na
0.000 0.750 0.250 Na
0.141 0.391 0.283 Na
0.141 0.859 0.750 Na
0.250 0.000 0.250 Na
0.391 0.141 0.783 Na
0.391 0.609 0.250 Na
0.609 0.391 0.750 Na
0.609 0.859 0.217 Na
0.750 0.000 0.750 Na
0.859 0.141 0.250 Na
0.859 0.609 0.717 Na
0.238 0.488 0.750 Ga
0.488 0.238 0.250 Ga
0.512 0.762 0.750 Ga
0.762 0.512 0.250 Ga
0.229 0.261 0.532 N
0.229 0.697 0.968 N
0.261 0.229 0.032 N
0.303 0.771 0.532 N
0.697 0.229 0.468 N
0.739 0.771 0.968 N
0.771 0.303 0.032 N
0.771 0.739 0.468 N
```

Largest 10 diffraction maxima, low angle first, 2θ = 5–70°:
d/Å	Rel. int.
6.826	39
4.050	22
3.747	19
3.483	12
3.170	12
2.864	51
2.750	14
2.496	100
2.025	34
1.573	40

***

Record 2
Diffraction record for Na3GaN2. The powder diffraction line list is calculated, not measured: it uses a GGA-PBE-relaxed structure and Cu Kα (λ = 1.5418 Å).
Neutral-atom scattering factors, no anomalous dispersion.

Cell and atoms:
```
Na3GaN2
1.0
-5.449 5.449 5.449
5.449 -5.449 5.449
5.449 5.449 -5.449
Na Ga N
24 8 16
Direct
0.021 0.765 0.058 Na
0.037 0.558 0.793 Na
0.058 0.021 0.765 Na
0.207 0.963 0.442 Na
0.235 0.942 0.979 Na
0.244 0.707 0.265 Na
0.256 0.521 0.463 Na
0.265 0.244 0.707 Na
0.293 0.735 0.756 Na
0.442 0.207 0.963 Na
0.463 0.256 0.521 Na
0.479 0.537 0.744 Na
0.521 0.463 0.256 Na
0.537 0.744 0.479 Na
0.558 0.793 0.037 Na
0.707 0.265 0.244 Na
0.735 0.756 0.293 Na
0.744 0.479 0.537 Na
0.756 0.293 0.735 Na
0.765 0.058 0.021 Na
0.793 0.037 0.558 Na
0.942 0.979 0.235 Na
0.963 0.442 0.207 Na
0.979 0.235 0.942 Na
0.000 0.286 0.500 Ga
0.000 0.714 0.500 Ga
0.214 0.214 0.214 Ga
0.286 0.500 0.000 Ga
0.500 0.000 0.286 Ga
0.500 0.000 0.714 Ga
0.714 0.500 0.000 Ga
0.786 0.786 0.786 Ga
0.000 0.000 0.000 N
0.000 0.500 0.500 N
0.059 0.309 0.750 N
0.191 0.250 0.441 N
0.250 0.441 0.191 N
0.250 0.941 0.691 N
0.309 0.750 0.059 N
0.441 0.191 0.250 N
0.500 0.000 0.500 N
0.500 0.500 0.000 N
0.559 0.809 0.750 N
0.691 0.250 0.941 N
0.750 0.059 0.309 N
0.750 0.559 0.809 N
0.809 0.750 0.559 N
0.941 0.691 0.250 N
```

Largest 10 diffraction maxima, low angle first, 2θ = 5–70°:
d/Å	Rel. int.
4.449	76
2.912	62
2.724	100
2.568	21
2.323	15
2.137	60
1.926	94
1.768	33
1.573	16
1.483	22

***

Record 3
Diffraction record for Na4Ga3Si3NO14. The powder diffraction line list is calculated, not measured: it uses a GGA-PBE-relaxed structure and Cu Kα (λ = 1.5418 Å).
Neutral-atom scattering factors, no anomalous dispersion.

Cell and atoms:
```
Na4Ga3Si3NO14
1.0
9.227 0.000 0.000
-0.096 9.263 0.000
-0.010 -0.050 9.406
Na Ga Si N O
8 6 6 2 28
Direct
0.000 0.000 0.000 Na
0.010 0.621 0.391 Na
0.386 0.005 0.374 Na
0.398 0.623 0.976 Na
0.491 0.515 0.488 Na
0.511 0.137 0.893 Na
0.866 0.131 0.511 Na
0.902 0.511 0.868 Na
0.197 0.068 0.684 Ga
0.209 0.572 0.651 Ga
0.434 0.312 0.193 Ga
0.699 0.808 0.455 Ga
0.719 0.805 0.984 Ga
0.942 0.307 0.224 Ga
0.192 0.300 0.448 Si
0.212 0.328 0.912 Si
0.425 0.820 0.668 Si
0.684 0.064 0.205 Si
0.704 0.551 0.213 Si
0.934 0.829 0.713 Si
0.020 0.883 0.281 N
0.607 0.228 0.663 N
0.021 0.682 0.648 O
0.049 0.279 0.983 O
0.049 0.957 0.759 O
0.053 0.378 0.373 O
0.078 0.199 0.119 O
0.119 0.161 0.531 O
0.154 0.465 0.822 O
0.247 0.646 0.463 O
0.271 0.183 0.831 O
0.279 0.400 0.565 O
0.316 0.243 0.335 O
0.325 0.702 0.751 O
0.337 0.379 0.030 O
0.338 0.957 0.600 O
0.516 0.910 0.797 O
0.539 0.750 0.555 O
0.542 0.150 0.143 O
0.563 0.452 0.262 O
0.563 0.776 0.868 O
0.632 0.951 0.330 O
0.646 0.653 0.085 O
0.752 0.983 0.063 O
0.760 0.651 0.347 O
0.807 0.169 0.277 O
0.830 0.891 0.586 O
0.843 0.461 0.148 O
0.877 0.773 0.869 O
0.891 0.583 0.628 O
```

Largest 10 diffraction maxima, low angle first, 2θ = 5–70°:
d/Å	Rel. int.
6.590	100
6.503	20
3.823	21
3.798	29
3.773	16
2.970	8
2.923	13
2.693	24
2.680	13
2.669	12

***

Record 4
Diffraction record for Ga3NO3. The powder diffraction line list is calculated, not measured: it uses a GGA-PBE-relaxed structure and Cu Kα (λ = 1.5418 Å).
Neutral-atom scattering factors, no anomalous dispersion.

Cell and atoms:
```
Ga3NO3
1.0
8.243 0.000 0.000
-4.121 7.139 0.000
0.000 0.000 6.366
Ga N O
12 4 12
Direct
0.071 0.499 0.243 Ga
0.071 0.499 0.757 Ga
0.254 0.156 0.500 Ga
0.263 0.162 0.000 Ga
0.428 0.929 0.243 Ga
0.428 0.929 0.757 Ga
0.501 0.572 0.243 Ga
0.501 0.572 0.757 Ga
0.838 0.101 0.000 Ga
0.844 0.098 0.500 Ga
0.899 0.737 0.000 Ga
0.902 0.746 0.500 Ga
0.000 0.000 0.500 N
0.002 0.359 0.000 N
0.356 0.998 0.000 N
0.641 0.644 0.000 N
0.000 0.000 0.000 O
0.333 0.667 0.268 O
0.333 0.667 0.732 O
0.336 0.307 0.254 O
0.336 0.307 0.746 O
0.376 0.010 0.500 O
0.633 0.624 0.500 O
0.693 0.029 0.254 O
0.693 0.029 0.746 O
0.971 0.664 0.254 O
0.971 0.664 0.746 O
0.990 0.367 0.500 O
```

Largest 10 diffraction maxima, low angle first, 2θ = 5–70°:
d/Å	Rel. int.
7.139	19
4.121	23
3.569	59
2.907	80
2.698	100
2.376	59
1.906	44
1.456	39
1.399	23
1.371	23

***

Record 5
Diffraction record for Ga11NO17. The powder diffraction line list is calculated, not measured: it uses a GGA-PBE-relaxed structure and Cu Kα (λ = 1.5418 Å).
Neutral-atom scattering factors, no anomalous dispersion.

Cell and atoms:
```
Ga11NO17
1.0
5.931 0.000 0.000
-2.966 5.137 0.000
0.000 0.000 23.727
Ga N O
22 2 34
Direct
0.000 0.000 0.000 Ga
0.000 0.000 0.500 Ga
0.168 0.336 0.107 Ga
0.168 0.336 0.393 Ga
0.168 0.832 0.107 Ga
0.168 0.832 0.393 Ga
0.333 0.667 0.524 Ga
0.333 0.667 0.674 Ga
0.333 0.667 0.826 Ga
0.333 0.667 0.976 Ga
0.336 0.168 0.607 Ga
0.336 0.168 0.893 Ga
0.664 0.832 0.107 Ga
0.664 0.832 0.393 Ga
0.667 0.333 0.024 Ga
0.667 0.333 0.174 Ga
0.667 0.333 0.326 Ga
0.667 0.333 0.476 Ga
0.832 0.168 0.607 Ga
0.832 0.168 0.893 Ga
0.832 0.664 0.607 Ga
0.832 0.664 0.893 Ga
0.333 0.667 0.250 N
0.667 0.333 0.750 N
0.000 0.000 0.141 O
0.000 0.000 0.359 O
0.000 0.000 0.641 O
0.000 0.000 0.859 O
0.004 0.502 0.145 O
0.004 0.502 0.355 O
0.157 0.315 0.550 O
0.157 0.315 0.950 O
0.157 0.843 0.550 O
0.157 0.843 0.950 O
0.315 0.157 0.050 O
0.315 0.157 0.450 O
0.333 0.667 0.056 O
0.333 0.667 0.444 O
0.333 0.667 0.750 O
0.498 0.502 0.145 O
0.498 0.502 0.355 O
0.498 0.996 0.145 O
0.498 0.996 0.355 O
0.502 0.004 0.645 O
0.502 0.004 0.855 O
0.502 0.498 0.645 O
0.502 0.498 0.855 O
0.667 0.333 0.250 O
0.667 0.333 0.556 O
0.667 0.333 0.944 O
0.685 0.843 0.550 O
0.685 0.843 0.950 O
0.843 0.157 0.050 O
0.843 0.157 0.450 O
0.843 0.685 0.050 O
0.843 0.685 0.450 O
0.996 0.498 0.645 O
0.996 0.498 0.855 O
```

Largest 10 diffraction maxima, low angle first, 2θ = 5–70°:
d/Å	Rel. int.
11.863	100
5.932	28
2.966	15
2.829	39
2.653	22
2.553	25
2.443	16
2.373	23
1.685	16
1.483	21

***

Record 6
Diffraction record for Ga3NO3. The powder diffraction line list is calculated, not measured: it uses a GGA-PBE-relaxed structure and Cu Kα (λ = 1.5418 Å).
Neutral-atom scattering factors, no anomalous dispersion.

Cell and atoms:
```
Ga3NO3
1.0
6.136 0.000 0.000
0.213 8.381 0.000
0.072 4.169 7.306
Ga N O
12 4 12
Direct
0.000 0.000 0.000 Ga
0.001 0.421 0.917 Ga
0.013 0.088 0.347 Ga
0.203 0.264 0.586 Ga
0.213 0.607 0.170 Ga
0.222 0.678 0.518 Ga
0.505 0.255 0.254 Ga
0.521 0.908 0.186 Ga
0.522 0.347 0.831 Ga
0.695 0.745 0.599 Ga
0.717 0.686 0.006 Ga
0.725 0.095 0.666 Ga
0.463 0.827 0.432 N
0.747 0.503 0.784 N
0.766 0.842 0.100 N
0.985 0.139 0.745 N
0.018 0.168 0.097 O
0.166 0.520 0.420 O
0.245 0.204 0.391 O
0.250 0.483 0.767 O
0.262 0.854 0.088 O
0.485 0.227 0.691 O
0.485 0.515 0.130 O
0.503 0.175 0.084 O
0.651 0.850 0.755 O
0.751 0.175 0.405 O
0.979 0.835 0.487 O
0.994 0.551 0.053 O
```

Largest 10 diffraction maxima, low angle first, 2θ = 5–70°:
d/Å	Rel. int.
4.698	54
4.638	53
4.211	51
3.148	59
3.097	53
2.848	60
2.804	58
2.759	90
2.746	100
2.532	45